V2Co3O8: computed X-ray diffraction stick pattern (Cu Kα X-rays), based on a cell relaxed with PBE+U.
Lines closer than 0.1° are merged.

Top 10 peaks for 2θ from 10° to 90°, in order of falling intensity:
2θ = 35.06°, d = 2.559 Å, intensity 100, (2 2 1); 2θ = 62.40°, d = 1.488 Å, intensity 66, (2 4 4); 2θ = 29.30°, d = 3.049 Å, intensity 62, (1 3 1); 2θ = 35.43°, d = 2.534 Å, intensity 53, (0 2 3); 2θ = 42.90°, d = 2.108 Å, intensity 39, (0 0 4); 2θ = 26.87°, d = 3.319 Å, intensity 36, (1 1 2); 2θ = 43.10°, d = 2.099 Å, intensity 32, (2 4 0); 2θ = 30.69°, d = 2.914 Å, intensity 25, (0 4 0); 2θ = 36.03°, d = 2.492 Å, intensity 24, (1 1 3); 2θ = 15.20°, d = 5.827 Å, intensity 22, (0 2 0)

Structural model:
Lattice parameters (Å, degrees): 6.0523 11.6546 8.4413 90.00 90.00 90.00
Space group Cmce (No. 64)
Asymmetric unit:
V  0.0000  0.1237  0.1180 (multiplicity 8)
Co  0.0000  0.0000  0.5000 (multiplicity 4)
Co  0.2500  0.1299  0.7500 (multiplicity 8)
O  0.0000  0.0014  0.2540 (multiplicity 8)
O  0.0000  0.2488  0.7267 (multiplicity 8)
O  0.2326  0.1178  0.9980 (multiplicity 16)